Record 1
Structure and simulated powder diffraction line list of Cs3TiF7 (DFT lattice parameters and positions (GGA-PBE); Cu Kα (λ = 1.5418 Å)).
No peak broadening, texture or thermal motion is included.

The 10 most intense peaks (10 to 90 degrees two-theta), by angle:
- hkl 2 1 0, 2θ = 23.03°, rel. 20
- hkl 2 0 1, 2θ = 24.90°, rel. 100
- hkl 2 1 1, 2θ = 26.99°, rel. 26
- hkl 0 0 2, 2θ = 27.99°, rel. 29
- hkl 2 2 0, 2θ = 29.25°, rel. 36
- hkl 3 1 0, 2θ = 32.79°, rel. 22
- hkl 2 1 2, 2θ = 36.55°, rel. 33
- hkl 2 2 2, 2θ = 40.93°, rel. 27
- hkl 4 1 0, 2θ = 43.19°, rel. 15
- hkl 2 0 3, 2θ = 47.70°, rel. 16

Cell and atoms:
Cell: 8.6366 8.6366 6.3751 Å, 90.00 90.00 90.00°
Space group P4/mbm (No. 127)
One atom of each set of equivalent atoms:
Cs (0.0000, 0.0000, 0.0000)
Cs (0.1937, 0.3063, 0.5000)
Ti (0.0000, 0.5000, 0.0000)
F (0.0000, 0.0000, 0.5000)
F (0.1085, 0.6085, 0.2129)
F (0.1551, 0.3449, 0.0000)

Record 2
Structure and simulated powder diffraction line list of CsTlF3 (DFT lattice parameters and positions (GGA-PBE); Cu Kα (λ = 1.5418 Å)).
No peak broadening, texture or thermal motion is included.

The 10 most intense peaks (10 to 90 degrees two-theta), by angle:
- hkl 0 2 0, 2θ = 18.54°, rel. 90
- hkl 1 1 1, 2θ = 29.51°, rel. 100
- hkl 0 0 2, 2θ = 32.40°, rel. 23
- hkl 0 4 0, 2θ = 37.59°, rel. 62
- hkl 1 3 1, 2θ = 39.97°, rel. 45
- hkl 2 2 0, 2θ = 50.46°, rel. 27
- hkl 1 5 1, 2θ = 56.03°, rel. 34
- hkl 2 4 0, 2θ = 61.25°, rel. 29
- hkl 2 4 2, 2θ = 71.02°, rel. 15
- hkl 3 1 1, 2θ = 75.68°, rel. 22

Cell and atoms:
Cell: 3.9073 9.5708 5.5257 Å, 90.00 90.00 90.00°
Space group Amm2 (No. 38)
One atom of each set of equivalent atoms:
Cs (0.0000, 0.0000, 0.0000)
Tl (0.5000, 0.0000, 0.5067)
F (0.0000, 0.0000, 0.5108)
F (0.5000, 0.2483, 0.7591)

Record 3
Structure and simulated powder diffraction line list of CsTlF3 (DFT lattice parameters and positions (GGA-PBE); Cu Kα (λ = 1.5418 Å)).
No peak broadening, texture or thermal motion is included.

The 10 most intense peaks (10 to 90 degrees two-theta), by angle:
- hkl 1 0 1, 2θ = 18.55°, rel. 10
- hkl 1 1 0, 2θ = 26.36°, rel. 100
- hkl 2 0 2, 2θ = 37.62°, rel. 31
- hkl 3 0 0, 2θ = 46.52°, rel. 44
- hkl 2 2 0, 2θ = 54.26°, rel. 21
- hkl 3 1 2, 2θ = 61.30°, rel. 20
- hkl 0 4 2, 2θ = 67.86°, rel. 5
- hkl 4 1 0, 2θ = 74.17°, rel. 17
- hkl 1 1 6, 2θ = 74.29°, rel. 6
- hkl 5 0 2, 2θ = 86.27°, rel. 8

Cell and atoms:
Cell: 6.7676 6.7676 8.2711 Å, 90.00 90.00 120.00°
Space group R3m (No. 160, hexagonal axes)
One atom of each set of equivalent atoms:
Cs (0.0000, 0.0000, 0.0000)
Tl (0.0000, 0.0000, 0.4933)
F (0.0022, 0.5011, 0.9904)

Record 4
Structure and simulated powder diffraction line list of CsTlF4 (DFT lattice parameters and positions (GGA-PBE); Cu Kα (λ = 1.5418 Å)).
No peak broadening, texture or thermal motion is included.

The 10 most intense peaks (10 to 90 degrees two-theta), by angle:
- hkl 1 0 0, 2θ = 13.24°, rel. 16
- hkl 1 0 2, 2θ = 24.44°, rel. 100
- hkl 1 2 0, 2θ = 24.59°, rel. 84
- hkl 2 0 0, 2θ = 26.66°, rel. 36
- hkl 0 2 2, 2θ = 29.21°, rel. 50
- hkl 2 2 2, 2θ = 39.95°, rel. 45
- hkl 0 0 4, 2θ = 41.60°, rel. 17
- hkl 3 0 2, 2θ = 45.79°, rel. 41
- hkl 1 2 4, 2θ = 48.91°, rel. 28
- hkl 1 4 2, 2θ = 49.16°, rel. 16

Cell and atoms:
Cell: 6.6876 8.6126 8.6848 Å, 90.00 90.00 90.00°
Space group Pbcm (No. 57)
One atom of each set of equivalent atoms:
Cs (0.0118, 0.1970, 0.2500)
Tl (0.5000, 0.0000, 0.0000)
F (0.2071, 0.5657, 0.5566)
F (0.3829, 0.2500, 0.0000)
F (0.4022, 0.5202, 0.2500)

Record 5
Structure and simulated powder diffraction line list of CsTlF3 (DFT lattice parameters and positions (GGA-PBE); Cu Kα (λ = 1.5418 Å)).
No peak broadening, texture or thermal motion is included.

The 10 most intense peaks (10 to 90 degrees two-theta), by angle:
- hkl 1 0 1, 2θ = 18.52°, rel. 9
- hkl 1 1 0, 2θ = 26.31°, rel. 100
- hkl 2 0 2, 2θ = 37.56°, rel. 31
- hkl 2 1 1, 2θ = 42.19°, rel. 5
- hkl 3 0 0, 2θ = 46.44°, rel. 44
- hkl 2 2 0, 2θ = 54.16°, rel. 21
- hkl 3 1 2, 2θ = 61.19°, rel. 20
- hkl 0 4 2, 2θ = 67.77°, rel. 7
- hkl 4 1 0, 2θ = 74.06°, rel. 23
- hkl 5 0 2, 2θ = 86.14°, rel. 12

Cell and atoms:
Cell: 6.7739 6.7739 8.2954 Å, 90.00 90.00 120.00°
Space group R3m (No. 160, hexagonal axes)
One atom of each set of equivalent atoms:
Cs (0.0000, 0.0000, 0.0000)
Tl (0.0000, 0.0000, 0.4997)
F (0.0002, 0.5001, 0.9994)

Record 6
Structure and simulated powder diffraction line list of CsTlF3 (DFT lattice parameters and positions (GGA-PBE); Cu Kα (λ = 1.5418 Å)).
No peak broadening, texture or thermal motion is included.

The 10 most intense peaks (10 to 90 degrees two-theta), by angle:
- hkl 1 0 0, 2θ = 18.50°, rel. 9
- hkl 1 1 1, 2θ = 26.28°, rel. 100
- hkl 2 0 0, 2θ = 37.50°, rel. 31
- hkl 1 2 2, 2θ = 42.13°, rel. 5
- hkl 2 2 0, 2θ = 46.37°, rel. 44
- hkl 2 2 2, 2θ = 54.06°, rel. 17
- hkl 3 1 1, 2θ = 61.08°, rel. 16
- hkl 3 1 3, 2θ = 73.88°, rel. 12
- hkl 3 3 1, 2θ = 74.00°, rel. 11
- hkl 4 2 0, 2θ = 86.00°, rel. 8

Cell and atoms:
Cell: 4.7967 6.7742 6.7922 Å, 90.00 90.00 90.00°
Space group Amm2 (No. 38)
One atom of each set of equivalent atoms:
Cs (0.0000, 0.0000, 0.0000)
Tl (0.5000, 0.0000, 0.4986)
F (0.0000, 0.0000, 0.4914)
F (0.5000, 0.2481, 0.7502)

Record 7
Structure and simulated powder diffraction line list of CsTlF4 (DFT lattice parameters and positions (GGA-PBE); Cu Kα (λ = 1.5418 Å)).
No peak broadening, texture or thermal motion is included.

The 10 most intense peaks (10 to 90 degrees two-theta), by angle:
- hkl 0 1 2, 2θ = 24.36°, rel. 100
- hkl 2 1 0, 2θ = 24.70°, rel. 84
- hkl 0 2 0, 2θ = 26.70°, rel. 45
- hkl 2 0 2, 2θ = 29.23°, rel. 49
- hkl 2 2 2, 2θ = 39.99°, rel. 41
- hkl 0 0 4, 2θ = 41.39°, rel. 17
- hkl 0 3 2, 2θ = 45.73°, rel. 28
- hkl 2 3 0, 2θ = 45.94°, rel. 19
- hkl 2 1 4, 2θ = 48.79°, rel. 28
- hkl 2 4 2, 2θ = 63.50°, rel. 29

Cell and atoms:
Cell: 8.5611 6.6809 8.7269 Å, 90.00 90.00 90.00°
Space group Pca2_1 (No. 29)
One atom of each set of equivalent atoms:
Cs (0.1969, 0.0133, 0.0000)
Tl (0.0059, 0.4995, 0.7488)
F (0.0133, 0.5931, 0.9991)
F (0.0613, 0.7923, 0.3058)
F (0.0796, 0.7912, 0.6958)
F (0.2437, 0.3783, 0.2417)

Record 8
Structure and simulated powder diffraction line list of CsTlF3 (DFT lattice parameters and positions (GGA-PBE); Cu Kα (λ = 1.5418 Å)).
No peak broadening, texture or thermal motion is included.

The 10 most intense peaks (10 to 90 degrees two-theta), by angle:
- hkl 2 0 0, 2θ = 18.18°, rel. 9
- hkl 2 2 0, 2θ = 25.82°, rel. 100
- hkl 4 0 0, 2θ = 36.84°, rel. 30
- hkl 4 2 2, 2θ = 45.53°, rel. 43
- hkl 4 4 0, 2θ = 53.08°, rel. 20
- hkl 6 2 0, 2θ = 59.95°, rel. 21
- hkl 4 4 4, 2θ = 66.36°, rel. 7
- hkl 6 4 2, 2θ = 72.47°, rel. 23
- hkl 6 6 0, 2θ = 84.18°, rel. 12
- hkl 8 4 0, 2θ = 89.91°, rel. 9

Cell and atoms:
Cell: 9.7594 9.7594 9.7594 Å, 90.00 90.00 90.00°
Space group Fm-3m (No. 225)
One atom of each set of equivalent atoms:
Cs (0.2500, 0.2500, 0.2500)
Tl (0.0000, 0.0000, 0.0000)
Tl (0.0000, 0.0000, 0.5000)
F (0.0000, 0.0000, 0.2267)